Entry 1:
Diffraction record for La3Al. The powder diffractogram is computed, not measured: it uses DFT lattice parameters and positions (PBE) and λ = 1.5418 Å (Cu Kα).

The 10 most intense peaks (15° ≤ 2θ ≤ 90°), in order of rising 2θ:
2θ 17.85, I 180
2θ 25.35, I 158
2θ 31.18, I 1000
2θ 36.15, I 503
2θ 40.60, I 92
2θ 52.06, I 352
2θ 61.94, I 416
2θ 65.02, I 120
2θ 85.11, I 172
2θ 87.87, I 161

Cell and atoms:
Cell: 4.969 4.969 4.969 Å, 90.00 90.00 90.00°
Atoms (fractional coordinates):
La 0.000 0.000 0.500
La 0.000 0.500 0.000
La 0.500 0.000 0.000
Al 0.500 0.500 0.500

***

Entry 2:
Diffraction record for La3Al. The powder diffractogram is computed, not measured: it uses DFT lattice parameters and positions (PBE) and λ = 1.5418 Å (Cu Kα).

The 10 most intense peaks (15° ≤ 2θ ≤ 90°), in order of rising 2θ:
2θ 20.12, I 184
2θ 31.26, I 1000
2θ 35.39, I 179
2θ 36.58, I 163
2θ 36.77, I 161
2θ 51.82, I 120
2θ 60.97, I 146
2θ 62.56, I 135
2θ 62.82, I 134
2θ 65.21, I 119

Cell and atoms:
Cell: 4.888 4.913 10.145 Å, 90.00 90.00 90.00°
Atoms (fractional coordinates):
La 0.000 0.000 0.000
La 0.000 0.500 0.249
La 0.000 0.500 0.751
La 0.500 0.000 0.251
La 0.500 0.000 0.749
La 0.500 0.500 0.500
Al 0.000 0.000 0.500
Al 0.500 0.500 0.000

***

Entry 3:
Diffraction record for LaAl. The powder diffractogram is computed, not measured: it uses DFT lattice parameters and positions (PBE) and λ = 1.5418 Å (Cu Kα).

The 10 most intense peaks (15° ≤ 2θ ≤ 90°), in order of rising 2θ:
2θ 21.76, I 577
2θ 24.11, I 542
2θ 24.73, I 564
2θ 32.70, I 1000
2θ 33.17, I 894
2θ 34.81, I 887
2θ 35.24, I 226
2θ 41.43, I 490
2θ 56.89, I 224
2θ 60.80, I 309

Cell and atoms:
Cell: 5.437 3.691 5.452 Å, 90.00 97.21 90.00°
Atoms (fractional coordinates):
La 0.221 0.000 0.280
La 0.779 0.000 0.720
Al 0.301 0.500 0.803
Al 0.699 0.500 0.197

***

Entry 4:
Diffraction record for La2Al3. The powder diffractogram is computed, not measured: it uses DFT lattice parameters and positions (PBE) and λ = 1.5418 Å (Cu Kα).

The 10 most intense peaks (15° ≤ 2θ ≤ 90°), in order of rising 2θ:
2θ 19.43, I 233
2θ 20.68, I 422
2θ 28.01, I 996
2θ 31.03, I 1000
2θ 31.57, I 240
2θ 36.63, I 457
2θ 37.34, I 441
2θ 49.72, I 345
2θ 55.88, I 218
2θ 64.19, I 175

Cell and atoms:
Cell: 6.183 6.183 8.225 Å, 90.00 90.00 125.45°
Atoms (fractional coordinates):
La 0.156 0.844 0.902
La 0.344 0.656 0.402
La 0.656 0.344 0.598
La 0.844 0.156 0.098
Al 0.000 0.000 0.500
Al 0.154 0.346 0.750
Al 0.346 0.154 0.250
Al 0.500 0.500 0.000
Al 0.654 0.846 0.750
Al 0.846 0.654 0.250

***

Entry 5:
Diffraction record for LaAl. The powder diffractogram is computed, not measured: it uses DFT lattice parameters and positions (PBE) and λ = 1.5418 Å (Cu Kα).

The 10 most intense peaks (15° ≤ 2θ ≤ 90°), in order of rising 2θ:
2θ 19.53, I 172
2θ 22.59, I 207
2θ 29.75, I 1000
2θ 35.84, I 194
2θ 38.78, I 146
2θ 39.66, I 266
2θ 50.36, I 151
2θ 56.67, I 187
2θ 64.70, I 108
2θ 65.93, I 228

Cell and atoms:
Cell: 9.090 9.090 4.644 Å, 90.00 90.00 120.00°
Atoms (fractional coordinates):
La 0.170 0.341 0.250
La 0.170 0.830 0.250
La 0.341 0.170 0.750
La 0.659 0.830 0.250
La 0.830 0.170 0.750
La 0.830 0.659 0.750
Al 0.128 0.564 0.750
Al 0.436 0.564 0.750
Al 0.436 0.872 0.750
Al 0.564 0.128 0.250
Al 0.564 0.436 0.250
Al 0.872 0.436 0.250

***

Entry 6:
Diffraction record for La2Al. The powder diffractogram is computed, not measured: it uses DFT lattice parameters and positions (PBE) and λ = 1.5418 Å (Cu Kα).

The 10 most intense peaks (15° ≤ 2θ ≤ 90°), in order of rising 2θ:
2θ 21.20, I 211
2θ 28.73, I 1000
2θ 31.31, I 496
2θ 32.63, I 444
2θ 37.15, I 168
2θ 38.89, I 187
2θ 45.02, I 126
2θ 49.35, I 212
2θ 51.65, I 242
2θ 58.93, I 219

Cell and atoms:
Cell: 8.383 8.383 4.631 Å, 90.00 90.00 120.00°
Atoms (fractional coordinates):
La 0.000 0.268 0.000
La 0.000 0.587 0.500
La 0.268 0.000 0.000
La 0.413 0.413 0.500
La 0.587 0.000 0.500
La 0.732 0.732 0.000
Al 0.000 0.000 0.500
Al 0.333 0.667 0.000
Al 0.667 0.333 0.000